[1]
Starting from a crystal structure in Alexandria, relaxed with GGA-PBE, the powder diffraction line list of BeGaCuPd was simulated for a wavelength of 1.5418 Å.

Cell and atoms:
Cell: 5.875 5.875 5.875 Å, 90.00 90.00 90.00°
Space group F-43m (No. 216)
Symmetry-distinct sites (fractional):
Be (0.000, 0.000, 0.000) [4 per cell]
Ga (0.000, 0.000, 0.500) [4 per cell]
Cu (0.250, 0.250, 0.250) [4 per cell]
Pd (0.250, 0.250, 0.750) [4 per cell]

Main lines, sorted by position (2θ = 10–90°):
two_theta  I (rel.)  hkl
26.28  24  1 1 1
30.43  20  2 0 0
43.58  100  2 2 0
51.60  11  3 1 1
54.08  5  2 2 2
63.33  16  4 0 0
69.78  5  3 3 1
71.87  6  4 2 0
80.02  31  4 2 2
85.98  3  5 1 1

---

[2]
Starting from a crystal structure in Alexandria, relaxed with GGA-PBE, the powder diffraction line list of YbGd3F12 was simulated for a wavelength of 1.5418 Å.

Cell and atoms:
Cell: 4.525 7.024 6.493 Å, 90.00 90.43 90.00°
Space group Pm (No. 6)
Symmetry-distinct sites (fractional):
Yb (0.000, 0.000, 0.000) [1 per cell]
Gd (0.106, 0.500, 0.265) [1 per cell]
Gd (0.493, 0.500, 0.769) [1 per cell]
Gd (0.611, 0.000, 0.504) [1 per cell]
F (0.138, 0.000, 0.659) [1 per cell]
F (0.172, 0.313, 0.969) [2 per cell]
F (0.423, 0.312, 0.472) [2 per cell]
F (0.443, 0.000, 0.162) [1 per cell]
F (0.636, 0.500, 0.114) [1 per cell]
F (0.675, 0.186, 0.803) [2 per cell]
F (0.919, 0.186, 0.293) [2 per cell]
F (0.955, 0.500, 0.609) [1 per cell]

Main lines, sorted by position (2θ = 10–90°):
two_theta  I (rel.)  hkl
23.39  30  1 1 0
23.89  45  1 0 -1
24.06  47  1 0 1
25.36  94  0 2 0
27.09  77  1 1 -1
27.25  72  1 1 1
30.33  100  0 1 2
45.82  60  1 3 -1
47.88  74  0 3 2
63.07  22  3 1 0